(1)
This entry pairs a crystal structure of PrFe4Cu3O12 with its computed X-ray diffraction stick pattern. Radiation: λ = 1.5418 Å (Cu Kα). Structure: a cell relaxed with GGA+U.
No peak broadening, texture or thermal motion is included.

Top 10 peaks for 2θ = 15–90°, low angle first:
two_theta, Rel. int.
16.71, 9.2
23.72, 3.9
33.80, 100.0
37.93, 9.3
41.71, 4.4
45.23, 8.4
48.54, 23.6
60.46, 47.8
71.09, 11.5
81.08, 16.3

Atomic structure:
```
PrFe4Cu3O12
1.0
-3.751 3.751 3.751
3.751 -3.751 3.751
3.751 3.751 -3.751
Pr Fe Cu O
1 4 3 12
direct
0.000 0.000 0.000
0.000 0.000 0.500
0.000 0.500 0.000
0.500 0.000 0.000
0.500 0.500 0.500
0.000 0.500 0.500
0.500 0.000 0.500
0.500 0.500 0.000
0.145 0.311 0.834
0.166 0.477 0.311
0.166 0.855 0.689
0.311 0.166 0.477
0.311 0.834 0.145
0.477 0.311 0.166
0.523 0.689 0.834
0.689 0.166 0.855
0.689 0.834 0.523
0.834 0.145 0.311
0.834 0.523 0.689
0.855 0.689 0.166
```



(2)
This entry pairs a crystal structure of Co2S3O12 with its computed X-ray diffraction stick pattern. Radiation: λ = 1.5418 Å (Cu Kα). Structure: a cell relaxed with GGA+U.
No peak broadening, texture or thermal motion is included.

Top 10 peaks for 2θ = 15–90°, low angle first:
two_theta, Rel. int.
20.70, 76.1
24.30, 100.0
29.42, 37.0
32.09, 14.8
33.02, 25.1
36.21, 36.7
47.36, 23.7
49.78, 14.7
54.55, 10.1
56.68, 29.9

Atomic structure:
```
Co2S3O12
1.0
4.299 2.482 6.994
-4.299 2.482 6.994
0.000 -4.964 6.994
Co S O
4 6 24
direct
0.140 0.140 0.140
0.360 0.360 0.360
0.640 0.640 0.640
0.860 0.860 0.860
0.041 0.750 0.459
0.250 0.541 0.959
0.459 0.041 0.750
0.541 0.959 0.250
0.750 0.459 0.041
0.959 0.250 0.541
0.006 0.805 0.615
0.058 0.911 0.276
0.089 0.724 0.942
0.115 0.305 0.506
0.195 0.385 0.994
0.224 0.589 0.442
0.276 0.058 0.911
0.305 0.506 0.115
0.385 0.994 0.195
0.411 0.558 0.776
0.442 0.224 0.589
0.494 0.885 0.695
0.506 0.115 0.305
0.558 0.776 0.411
0.589 0.442 0.224
0.615 0.006 0.805
0.695 0.494 0.885
0.724 0.942 0.089
0.776 0.411 0.558
0.805 0.615 0.006
0.885 0.695 0.494
0.911 0.276 0.058
0.942 0.089 0.724
0.994 0.195 0.385
```



(3)
This entry pairs a crystal structure of TmCuW2O8 with its computed X-ray diffraction stick pattern. Radiation: λ = 1.5418 Å (Cu Kα). Structure: a cell relaxed with GGA+U.
No peak broadening, texture or thermal motion is included.

Top 10 peaks for 2θ = 15–90°, low angle first:
two_theta, Rel. int.
23.29, 50.5
28.75, 100.0
29.78, 88.4
34.89, 38.7
35.38, 29.2
36.15, 21.4
49.36, 27.2
50.46, 18.9
51.76, 21.3
61.65, 23.5

Atomic structure:
```
TmCuW2O8
1.0
5.080 0.000 0.000
0.000 5.966 0.000
-4.614 0.000 9.940
Tm Cu W O
2 2 4 16
direct
0.000 0.166 0.250
0.000 0.834 0.750
0.500 0.213 0.750
0.500 0.787 0.250
0.238 0.330 0.989
0.238 0.670 0.489
0.762 0.330 0.511
0.762 0.670 0.011
0.162 0.409 0.611
0.162 0.591 0.111
0.217 0.135 0.114
0.217 0.865 0.614
0.268 0.136 0.864
0.268 0.864 0.364
0.338 0.386 0.402
0.338 0.614 0.902
0.662 0.386 0.098
0.662 0.614 0.598
0.732 0.136 0.636
0.732 0.864 0.136
0.783 0.135 0.386
0.783 0.865 0.886
0.838 0.409 0.889
0.838 0.591 0.389
```